1.
The following is a simulated PXRD pattern of Ta14W. It was derived from a structure optimized by DFT (GGA-PBE), using Cu Kα X-rays.
No peak broadening, texture or thermal motion is included.

Cell and atoms:
a = 10.187 Å, b = 10.187 Å, c = 5.338 Å
α = 90.00°, β = 90.00°, γ = 90.00°
Positions (direct):
Ta (0.035, 0.371, 0.000)
Ta (0.066, 0.259, 0.500)
Ta (0.104, 0.104, 0.000)
Ta (0.129, 0.535, 0.500)
Ta (0.181, 0.819, 0.249)
Ta (0.181, 0.819, 0.751)
Ta (0.241, 0.566, 0.000)
Ta (0.259, 0.066, 0.500)
Ta (0.319, 0.319, 0.251)
Ta (0.319, 0.319, 0.749)
Ta (0.371, 0.035, 0.000)
Ta (0.396, 0.604, 0.500)
Ta (0.434, 0.759, 0.000)
Ta (0.465, 0.871, 0.500)
Ta (0.535, 0.129, 0.500)
Ta (0.566, 0.241, 0.000)
Ta (0.604, 0.396, 0.500)
Ta (0.629, 0.965, 0.000)
Ta (0.681, 0.681, 0.251)
Ta (0.681, 0.681, 0.749)
Ta (0.741, 0.934, 0.500)
Ta (0.759, 0.434, 0.000)
Ta (0.819, 0.181, 0.249)
Ta (0.819, 0.181, 0.751)
Ta (0.871, 0.465, 0.500)
Ta (0.896, 0.896, 0.000)
Ta (0.934, 0.741, 0.500)
Ta (0.965, 0.629, 0.000)
W (0.000, 0.000, 0.500)
W (0.500, 0.500, 0.000)

Most intense lines, 2θ from 15° to 90°, low angle first:
d_spacing  I (rel.)
2.669  205
2.471  762
2.401  362
2.364  320
2.303  668
2.242  1000
2.190  473
1.462  214
1.444  251
1.399  181

=====

2.
The following is a simulated PXRD pattern of Pr3Mg3InAu2. It was derived from a structure optimized by DFT (GGA-PBE), using Cu Kα X-rays.
No peak broadening, texture or thermal motion is included.

Cell and atoms:
a = 7.611 Å, b = 7.611 Å, c = 4.600 Å
α = 90.00°, β = 90.00°, γ = 120.00°
Positions (direct):
Pr (0.000, 0.428, 0.000)
Pr (0.428, 0.000, 0.000)
Pr (0.572, 0.572, 0.000)
Mg (0.000, 0.752, 0.500)
Mg (0.248, 0.248, 0.500)
Mg (0.752, 0.000, 0.500)
In (0.000, 0.000, 0.000)
Au (0.333, 0.667, 0.500)
Au (0.667, 0.333, 0.500)

Most intense lines, 2θ from 15° to 90°, low angle first:
d_spacing  I (rel.)
3.806  383
2.932  764
2.679  1000
2.491  169
2.300  259
2.197  254
2.191  242
1.903  172
1.589  183
1.437  260

=====

3.
The following is a simulated PXRD pattern of ErTmAl4. It was derived from a structure optimized by DFT (GGA-PBE), using Cu Kα X-rays.
No peak broadening, texture or thermal motion is included.

Cell and atoms:
a = 4.293 Å, b = 6.972 Å, c = 6.972 Å
α = 35.95°, β = 90.00°, γ = 90.00°
Positions (direct):
Er (0.000, 0.000, 0.000)
Tm (0.000, 0.311, 0.311)
Al (0.000, 0.656, 0.656)
Al (0.500, 0.156, 0.156)
Al (0.500, 0.489, 0.489)
Al (0.500, 0.820, 0.820)

Most intense lines, 2θ from 15° to 90°, low angle first:
d_spacing  I (rel.)
4.293  405
4.093  237
3.084  341
2.962  214
2.624  138
2.504  1000
2.211  156
2.149  332
1.762  139
1.541  201

=====

4.
The following is a simulated PXRD pattern of LaCo2BP. It was derived from a structure optimized by DFT (GGA-PBE), using Cu Kα X-rays.
No peak broadening, texture or thermal motion is included.

Cell and atoms:
a = 5.983 Å, b = 5.983 Å, c = 5.983 Å
α = 144.16°, β = 144.16°, γ = 51.59°
Positions (direct):
La (0.000, 0.000, 0.000)
Co (0.261, 0.761, 0.500)
Co (0.761, 0.261, 0.500)
B (0.335, 0.335, 0.000)
P (0.647, 0.647, 0.000)

Most intense lines, 2θ from 15° to 90°, low angle first:
d_spacing  I (rel.)
3.484  605
2.693  305
2.571  624
2.344  1000
1.860  151
1.841  331
1.520  204
1.497  226
1.478  278
1.138  226